# 1
Structure and theoretical X-ray diffraction stick pattern of Mg3Tl3Pb (a crystal structure in Alexandria, relaxed with GGA-PBE; Cu Ka).
Intensities are scaled so that the largest is 100.

Largest 12 diffraction maxima, in order of rising 2θ, 2θ from 5° to 70°:
hkl 2 2 0, 2θ 24.51, intensity 69
hkl 0 0 2, 2θ 24.96, intensity 38
hkl 0 4 0, 2θ 34.53, intensity 22
hkl 2 2 2, 2θ 35.28, intensity 100
hkl 0 4 2, 2θ 43.07, intensity 16
hkl 4 0 2, 2θ 43.76, intensity 12
hkl 4 4 0, 2θ 50.25, intensity 11
hkl 0 0 4, 2θ 51.21, intensity 8
hkl 4 4 2, 2θ 56.90, intensity 9
hkl 2 2 4, 2θ 57.56, intensity 14
hkl 2 6 2, 2θ 62.34, intensity 13
hkl 6 2 2, 2θ 63.40, intensity 9

Atomic structure:
```
data_Mg3Tl3Pb
_cell_length_a 10.1557
_cell_length_b 10.3907
_cell_length_c 7.1358
_cell_angle_alpha 90.00
_cell_angle_beta 90.00
_cell_angle_gamma 90.00
_space_group_name_H-M_alt 'C m m m'
_space_group_IT_number 65
_space_group_name_Hall '-C 2 2'
loop_
_atom_site_label
_atom_site_fract_x
_atom_site_fract_y
_atom_site_fract_z
_atom_site_occupancy
Mg1 0.0000 0.0000 0.2464 1
Mg2 0.2500 0.2500 0.2433 1
Tl1 0.0000 0.2424 0.0000 1
Tl2 0.0000 0.2766 0.5000 1
Tl3 0.2016 0.5000 0.0000 1
Pb1 0.2485 0.5000 0.5000 1
```

=====

# 2
Structure and theoretical X-ray diffraction stick pattern of Mg5TlPb6 (a crystal structure in Alexandria, relaxed with GGA-PBE; Cu Ka).
Intensities are scaled so that the largest is 100.

Largest 12 diffraction maxima, in order of rising 2θ, 2θ from 5° to 70°:
hkl 1 0 1, 2θ 20.47, intensity 50
hkl 1 0 -2, 2θ 25.21, intensity 65
hkl 2 0 -1, 2θ 32.58, intensity 100
hkl 0 0 3, 2θ 32.80, intensity 99
hkl -1 2 1, 2θ 35.29, intensity 42
hkl 1 2 -3, 2θ 36.60, intensity 39
hkl 2 0 2, 2θ 41.63, intensity 25
hkl 2 0 -4, 2θ 51.76, intensity 29
hkl 3 -2 1, 2θ 55.69, intensity 20
hkl 3 2 -1, 2θ 56.35, intensity 18
hkl -3 2 2, 2θ 61.63, intensity 16
hkl 2 -4 1, 2θ 61.77, intensity 16

Atomic structure:
```
data_Mg5TlPb6
_cell_length_a 5.6166
_cell_length_b 7.0718
_cell_length_c 8.8811
_cell_angle_alpha 111.54
_cell_angle_beta 96.82
_cell_angle_gamma 91.02
_space_group_name_H-M_alt 'P -1'
_space_group_IT_number 2
_space_group_name_Hall '-P 1'
loop_
_atom_site_label
_atom_site_fract_x
_atom_site_fract_y
_atom_site_fract_z
_atom_site_occupancy
Mg1 0.0000 0.0000 0.0000 1
Mg2 0.3100 0.8330 0.6714 1
Mg3 0.3197 0.3373 0.6785 1
Tl1 0.0000 0.5000 0.0000 1
Pb1 0.1909 0.9286 0.3468 1
Pb2 0.1925 0.4192 0.3483 1
Pb3 0.4972 0.2368 0.9997 1
```

=====

# 3
Structure and theoretical X-ray diffraction stick pattern of MgTl2Pb5 (a crystal structure in Alexandria, relaxed with GGA-PBE; Cu Ka).
Intensities are scaled so that the largest is 100.

Largest 12 diffraction maxima, in order of rising 2θ, 2θ from 5° to 70°:
hkl 1 0 1, 2θ 20.39, intensity 17
hkl 2 1 0, 2θ 27.79, intensity 10
hkl 2 0 1, 2θ 29.75, intensity 100
hkl 0 0 2, 2θ 32.68, intensity 24
hkl 2 2 0, 2θ 35.36, intensity 31
hkl 3 0 0, 2θ 37.59, intensity 8
hkl 3 2 1, 2θ 48.65, intensity 12
hkl 2 2 2, 2θ 48.92, intensity 25
hkl 4 0 0, 2θ 50.88, intensity 9
hkl 2 0 3, 2θ 56.53, intensity 17
hkl 4 2 1, 2θ 60.06, intensity 19
hkl 4 0 2, 2θ 61.79, intensity 10

Atomic structure:
```
data_MgTl2Pb5
_cell_length_a 7.1791
_cell_length_b 7.1791
_cell_length_c 5.4801
_cell_angle_alpha 90.00
_cell_angle_beta 90.00
_cell_angle_gamma 90.00
_space_group_name_H-M_alt 'P 4/m m m'
_space_group_IT_number 123
_space_group_name_Hall '-P 4 2'
loop_
_atom_site_label
_atom_site_fract_x
_atom_site_fract_y
_atom_site_fract_z
_atom_site_occupancy
Mg1 0.0000 0.0000 0.0000 1
Tl1 0.0000 0.5000 0.5000 1
Pb1 0.0000 0.0000 0.5000 1
Pb2 0.2840 0.2840 0.0000 1
```

=====

# 4
Structure and theoretical X-ray diffraction stick pattern of Mg14TlPb (a crystal structure in Alexandria, relaxed with GGA-PBE; Cu Ka).
Intensities are scaled so that the largest is 100.

Largest 12 diffraction maxima, in order of rising 2θ, 2θ from 5° to 70°:
hkl 0 0 1, 2θ 9.76, intensity 88
hkl 1 1 0, 2θ 19.53, intensity 62
hkl 1 1 1, 2θ 21.85, intensity 63
hkl 2 0 0, 2θ 27.75, intensity 54
hkl 2 0 1, 2θ 29.44, intensity 32
hkl 2 0 2, 2θ 34.16, intensity 100
hkl 2 2 0, 2θ 39.59, intensity 33
hkl 2 2 1, 2θ 40.92, intensity 24
hkl 2 2 2, 2θ 44.52, intensity 21
hkl 3 1 1, 2θ 45.67, intensity 19
hkl 2 2 4, 2θ 57.38, intensity 22
hkl 4 2 2, 2θ 68.36, intensity 26

Atomic structure:
```
data_Mg14TlPb
_cell_length_a 6.4391
_cell_length_b 6.4391
_cell_length_c 9.0631
_cell_angle_alpha 90.00
_cell_angle_beta 90.00
_cell_angle_gamma 90.00
_space_group_name_H-M_alt 'P 4/m m m'
_space_group_IT_number 123
_space_group_name_Hall '-P 4 2'
loop_
_atom_site_label
_atom_site_fract_x
_atom_site_fract_y
_atom_site_fract_z
_atom_site_occupancy
Mg1 0.0000 0.0000 0.0000 1
Mg2 0.0000 0.5000 0.0000 1
Mg3 0.0000 0.5000 0.5000 1
Mg4 0.2482 0.2482 0.2454 1
Mg5 0.5000 0.5000 0.0000 1
Tl1 0.0000 0.0000 0.5000 1
Pb1 0.5000 0.5000 0.5000 1
```

=====

# 5
Structure and theoretical X-ray diffraction stick pattern of MgTl4Pb3 (a crystal structure in Alexandria, relaxed with GGA-PBE; Cu Ka).
Intensities are scaled so that the largest is 100.

Largest 12 diffraction maxima, in order of rising 2θ, 2θ from 5° to 70°:
hkl 0 2 1, 2θ 31.19, intensity 52
hkl 1 1 -2, 2θ 31.50, intensity 100
hkl 0 0 4, 2θ 31.59, intensity 47
hkl 1 1 2, 2θ 36.06, intensity 70
hkl 0 2 -3, 2θ 37.26, intensity 31
hkl 0 2 5, 2θ 51.78, intensity 12
hkl 2 0 -1, 2θ 52.06, intensity 13
hkl 1 3 -1, 2θ 52.56, intensity 24
hkl 1 -1 5, 2θ 53.01, intensity 12
hkl 1 3 3, 2θ 61.63, intensity 15
hkl 2 2 0, 2θ 62.01, intensity 14
hkl 2 0 3, 2θ 62.13, intensity 14

Atomic structure:
```
data_MgTl4Pb3
_cell_length_a 3.5132
_cell_length_b 6.0185
_cell_length_c 11.4749
_cell_angle_alpha 92.93
_cell_angle_beta 98.65
_cell_angle_gamma 90.10
_space_group_name_H-M_alt 'P -1'
_space_group_IT_number 2
_space_group_name_Hall '-P 1'
loop_
_atom_site_label
_atom_site_fract_x
_atom_site_fract_y
_atom_site_fract_z
_atom_site_occupancy
Mg1 0.0000 0.0000 0.0000 1
Tl1 0.1233 0.3784 0.2478 1
Tl2 0.2455 0.7522 0.4920 1
Pb1 0.3822 0.1162 0.7667 1
Pb2 0.5000 0.5000 0.0000 1
```

=====

# 6
Structure and theoretical X-ray diffraction stick pattern of Mg4Tl2Pb5 (a crystal structure in Alexandria, relaxed with GGA-PBE; Cu Ka).
Intensities are scaled so that the largest is 100.

Largest 12 diffraction maxima, in order of rising 2θ, 2θ from 5° to 70°:
hkl 2 0 -2, 2θ 25.53, intensity 41
hkl 0 1 0, 2θ 25.73, intensity 100
hkl 2 0 2, 2θ 28.64, intensity 34
hkl 3 0 0, 2θ 31.26, intensity 42
hkl 1 1 2, 2θ 33.59, intensity 26
hkl 1 0 -4, 2θ 35.47, intensity 24
hkl 2 1 -2, 2θ 36.56, intensity 44
hkl 2 1 2, 2θ 38.88, intensity 41
hkl 1 1 3, 2θ 39.37, intensity 24
hkl 3 1 0, 2θ 40.92, intensity 35
hkl 0 2 0, 2θ 52.90, intensity 25
hkl 1 1 6, 2θ 62.79, intensity 33

Atomic structure:
```
data_Mg4Tl2Pb5
_cell_length_a 8.6397
_cell_length_b 3.4622
_cell_length_c 10.2917
_cell_angle_alpha 90.00
_cell_angle_beta 96.55
_cell_angle_gamma 90.00
_space_group_name_H-M_alt 'P 1 2/m 1'
_space_group_IT_number 10
_space_group_name_Hall '-P 2y'
loop_
_atom_site_label
_atom_site_fract_x
_atom_site_fract_y
_atom_site_fract_z
_atom_site_occupancy
Mg1 0.1306 0.0000 0.1283 1
Mg2 0.2464 0.0000 0.6411 1
Tl1 0.1858 0.5000 0.8837 1
Pb1 0.1189 0.5000 0.3831 1
Pb2 0.4450 0.5000 0.1697 1
Pb3 0.5000 0.5000 0.5000 1
```